The following is a calculated powder XRD pattern of RbScCuBr6. It was derived from a crystal structure in Alexandria, relaxed with PBE, using CuKα.

Top 6 peaks for 2θ from 10° to 90°, by angle:
11.7°, rel. 835
25.6°, rel. 585
28.1°, rel. 730
28.4°, rel. 1000
31.8°, rel. 637
36.2°, rel. 712

Structural model:
```
data_RbScCuBr6
_chemical_formula_sum 'Rb1 Sc1 Cu1 Br6'
_cell_length_a 6.738
_cell_length_b 6.836
_cell_length_c 7.625
_cell_angle_alpha 92.82
_cell_angle_beta 94.49
_cell_angle_gamma 113.54
_symmetry_space_group_name_H-M 'P 1'
_symmetry_Int_Tables_number 1
_symmetry_space_group_name_Hall 'P 1'
loop_
_atom_site_label
_atom_site_fract_x
_atom_site_fract_y
_atom_site_fract_z
Rb1 0.000 0.000 0.000
Sc1 0.368 0.657 0.506
Cu1 0.731 0.330 0.478
Br1 0.048 0.612 0.271
Br2 0.056 0.339 0.656
Br3 0.402 0.938 0.753
Br4 0.445 0.373 0.283
Br5 0.653 0.970 0.332
Br6 0.668 0.566 0.702
```

The following is a calculated powder XRD pattern of Y5Tm2Th4. It was derived from a crystal structure in Alexandria, relaxed with PBE, using CuKα.

Top 6 peaks for 2θ from 10° to 90°, by angle:
10.5°, rel. 294
30.7°, rel. 1000
30.9°, rel. 324
35.6°, rel. 451
35.8°, rel. 219
60.8°, rel. 191

Structural model:
```
data_Y5Tm2Th4
_chemical_formula_sum 'Y10 Tm4 Th8'
_cell_length_a 23.418
_cell_length_b 3.580
_cell_length_c 8.672
_cell_angle_alpha 90.00
_cell_angle_beta 104.69
_cell_angle_gamma 90.00
_symmetry_space_group_name_H-M 'C 1 2/m 1'
_symmetry_Int_Tables_number 12
_symmetry_space_group_name_Hall '-C 2y'
loop_
_atom_site_label
_atom_site_fract_x
_atom_site_fract_y
_atom_site_fract_z
Y1 0.000 0.000 0.000
Y2 0.137 0.500 0.095
Y3 0.226 0.500 0.810
Tm1 0.089 0.000 0.717
Th1 0.046 0.500 0.365
Th2 0.182 0.000 0.452
```